KNaPbAu: computed powder diffractogram (Cu Ka), based on a cell relaxed with GGA-PBE.
Peak positions follow from Bragg's law for the DFT cell and can differ from measured ones.

Principal peaks in the range 2θ from 10° to 80°, sorted by position:
Position (°2θ)  intensity  index
20.29  57  1 1 1
33.44  100  2 2 0
39.43  34  3 1 1
48.01  18  4 0 0
52.63  15  3 3 1
59.77  38  4 2 2
70.25  12  4 4 0
73.99  12  5 3 1

Structural model:
```
data_KNaPbAu
_chemical_formula_sum 'K4 Na4 Pb4 Au4'
_symmetry_space_group_name_H-M 'F -4 3 m'
_symmetry_Int_Tables_number 216
_symmetry_space_group_name_Hall 'F -4 2 3'
_cell_length_a 7.5796
_cell_length_b 7.5796
_cell_length_c 7.5796
_cell_angle_alpha 90.00
_cell_angle_beta 90.00
_cell_angle_gamma 90.00
loop_
_atom_site_label
_atom_site_fract_x
_atom_site_fract_y
_atom_site_fract_z
K1 0.0000 0.0000 0.0000
Na1 0.2500 0.2500 0.7500
Pb1 0.0000 0.0000 0.5000
Au1 0.2500 0.2500 0.2500
```

K2Rb2Na2Au: computed powder diffractogram (Cu Ka), based on a cell relaxed with GGA-PBE.
Peak positions follow from Bragg's law for the DFT cell and can differ from measured ones.

Principal peaks in the range 2θ from 10° to 80°, sorted by position:
Position (°2θ)  intensity  index
10.51  27  0 0 1
12.43  30  0 1 0
15.83  100  0 1 -1
18.83  33  1 -1 1
25.61  52  1 1 -1
26.72  36  -1 1 2
26.78  28  1 0 2
29.28  32  2 -1 0

Structural model:
```
data_K2Rb2Na2Au
_chemical_formula_sum 'K2 Rb2 Na2 Au1'
_symmetry_space_group_name_H-M 'P -1'
_symmetry_Int_Tables_number 2
_cell_length_a 6.0999
_cell_length_b 7.7537
_cell_length_c 8.4297
_cell_angle_alpha 92.82
_cell_angle_beta 90.13
_cell_angle_gamma 113.09
loop_
_symmetry_equiv_pos_as_xyz
'x,y,z'
'-x,-y,-z'
loop_
_atom_site_label
_atom_site_fract_x
_atom_site_fract_y
_atom_site_fract_z
K1 0.0437 0.0864 0.2927
Rb1 0.3549 0.7092 0.1360
Na1 0.2971 0.5955 0.5998
Au1 0.5000 0.0000 0.5000
```

KNaAuS2: computed powder diffractogram (Cu Ka), based on a cell relaxed with GGA-PBE.
Peak positions follow from Bragg's law for the DFT cell and can differ from measured ones.

Principal peaks in the range 2θ from 10° to 80°, sorted by position:
Position (°2θ)  intensity  index
12.69  100  0 2 0
15.95  54  0 0 1
20.44  63  0 2 1
25.07  56  2 0 0
29.85  43  2 0 1
32.55  69  2 2 1
34.76  41  0 2 2
39.68  45  2 4 1

Structural model:
```
data_KNaAuS2
_chemical_formula_sum 'K4 Na4 Au4 S8'
_symmetry_space_group_name_H-M 'C m m e'
_symmetry_Int_Tables_number 67
_symmetry_space_group_name_Hall '-C 2a 2'
_cell_length_a 7.1052
_cell_length_b 13.9522
_cell_length_c 5.5556
_cell_angle_alpha 90.00
_cell_angle_beta 90.00
_cell_angle_gamma 90.00
loop_
_atom_site_label
_atom_site_fract_x
_atom_site_fract_y
_atom_site_fract_z
K1 0.0000 0.2500 0.2383
Na1 0.2500 0.0000 0.5000
Au1 0.0000 0.0000 0.0000
S1 0.0000 0.1257 0.7358
```

KNaSbAu: computed powder diffractogram (Cu Ka), based on a cell relaxed with GGA-PBE.
Peak positions follow from Bragg's law for the DFT cell and can differ from measured ones.

Principal peaks in the range 2θ from 10° to 80°, sorted by position:
Position (°2θ)  intensity  index
16.95  58  0 0 2
18.67  100  0 1 1
25.89  29  1 1 1
30.63  35  0 1 3
33.60  24  0 2 0
35.64  39  1 1 3
38.88  21  1 0 4
40.84  29  2 1 1

Structural model:
```
data_KNaSbAu
_chemical_formula_sum 'K2 Na2 Sb2 Au2'
_symmetry_space_group_name_H-M 'A m m 2'
_symmetry_Int_Tables_number 38
_cell_length_a 4.9918
_cell_length_b 5.3343
_cell_length_c 10.4591
_cell_angle_alpha 90.00
_cell_angle_beta 90.00
_cell_angle_gamma 90.00
loop_
_symmetry_equiv_pos_as_xyz
'x,y,z'
'-x,-y,z'
'-x,y,z'
'x,-y,z'
'x,y+1/2,z+1/2'
'-x,-y+1/2,z+1/2'
'-x,y+1/2,z+1/2'
'x,-y+1/2,z+1/2'
loop_
_atom_site_label
_atom_site_fract_x
_atom_site_fract_y
_atom_site_fract_z
K1 0.0000 0.0000 0.0000
Na1 0.5000 0.0000 0.7129
Sb1 0.5000 0.0000 0.3907
Au1 0.0000 0.0000 0.3067
```

KNaAuSe2: computed powder diffractogram (Cu Ka), based on a cell relaxed with GGA-PBE.
Peak positions follow from Bragg's law for the DFT cell and can differ from measured ones.

Principal peaks in the range 2θ from 10° to 80°, sorted by position:
Position (°2θ)  intensity  index
12.44  93  0 2 0
15.12  58  0 0 1
19.63  72  0 2 1
25.15  100  2 0 0
29.43  77  2 0 1
32.10  74  2 2 1
33.07  54  0 2 2
39.05  52  2 4 1

Structural model:
```
data_KNaAuSe2
_chemical_formula_sum 'K4 Na4 Au4 Se8'
_symmetry_space_group_name_H-M 'C m m e'
_symmetry_Int_Tables_number 67
_symmetry_space_group_name_Hall '-C 2a 2'
_cell_length_a 7.0830
_cell_length_b 14.2262
_cell_length_c 5.8587
_cell_angle_alpha 90.00
_cell_angle_beta 90.00
_cell_angle_gamma 90.00
loop_
_atom_site_label
_atom_site_fract_x
_atom_site_fract_y
_atom_site_fract_z
K1 0.0000 0.2500 0.2376
Na1 0.2500 0.0000 0.5000
Au1 0.0000 0.0000 0.0000
Se1 0.0000 0.1316 0.7365
```

KNdAuS2: computed powder diffractogram (Cu Ka), based on a cell relaxed with GGA-PBE.
Peak positions follow from Bragg's law for the DFT cell and can differ from measured ones.

Principal peaks in the range 2θ from 10° to 80°, sorted by position:
Position (°2θ)  intensity  index
12.26  100  1 0 0
24.67  23  2 0 0
28.77  27  0 1 2
29.66  36  1 1 -2
33.02  32  1 1 2
35.36  29  2 1 -2
37.63  19  1 2 0
40.99  15  2 1 2

Structural model:
```
data_KNdAuS2
_chemical_formula_sum 'K2 Nd2 Au2 S4'
_symmetry_space_group_name_H-M 'P 1 2/c 1'
_symmetry_Int_Tables_number 13
_cell_length_a 7.3387
_cell_length_b 5.0668
_cell_length_c 7.9849
_cell_angle_alpha 90.00
_cell_angle_beta 100.46
_cell_angle_gamma 90.00
loop_
_symmetry_equiv_pos_as_xyz
'x,y,z'
'-x,-y,-z'
'-x,y,-z+1/2'
'x,-y,z+1/2'
loop_
_atom_site_label
_atom_site_fract_x
_atom_site_fract_y
_atom_site_fract_z
K1 0.0000 0.1474 0.2500
Nd1 0.5000 0.4909 0.7500
Au1 0.5000 0.0000 0.0000
S1 0.2527 0.3216 0.9627
```

KNdAuSe2: computed powder diffractogram (Cu Ka), based on a cell relaxed with GGA-PBE.
Peak positions follow from Bragg's law for the DFT cell and can differ from measured ones.

Principal peaks in the range 2θ from 10° to 80°, sorted by position:
Position (°2θ)  intensity  index
11.60  100  1 0 0
28.26  18  0 1 2
29.21  32  1 1 -2
32.01  36  1 1 2
34.51  28  2 1 -2
37.71  20  1 2 0
39.27  19  2 1 2
43.12  17  2 2 0

Structural model:
```
data_KNdAuSe2
_chemical_formula_sum 'K2 Nd2 Au2 Se4'
_symmetry_space_group_name_H-M 'P 1 2/c 1'
_symmetry_Int_Tables_number 13
_cell_length_a 7.7284
_cell_length_b 5.0240
_cell_length_c 8.2314
_cell_angle_alpha 90.00
_cell_angle_beta 99.33
_cell_angle_gamma 90.00
loop_
_symmetry_equiv_pos_as_xyz
'x,y,z'
'-x,-y,-z'
'-x,y,-z+1/2'
'x,-y,z+1/2'
loop_
_atom_site_label
_atom_site_fract_x
_atom_site_fract_y
_atom_site_fract_z
K1 0.0000 0.1435 0.2500
Nd1 0.5000 0.4917 0.7500
Au1 0.5000 0.0000 0.0000
Se1 0.2449 0.3338 0.9646
```

KNd2Te4Au: computed powder diffractogram (Cu Ka), based on a cell relaxed with GGA-PBE.
Peak positions follow from Bragg's law for the DFT cell and can differ from measured ones.

Principal peaks in the range 2θ from 10° to 80°, sorted by position:
Position (°2θ)  intensity  index
12.81  81  0 2 1
25.22  31  0 2 4
26.93  30  1 3 1
28.66  100  1 3 2
30.41  27  0 2 5
31.35  20  1 3 3
39.35  62  1 5 3
39.92  41  2 0 0

Structural model:
```
data_KNd2Te4Au
_chemical_formula_sum 'K4 Nd8 Te16 Au4'
_symmetry_space_group_name_H-M 'C m c m'
_symmetry_Int_Tables_number 63
_symmetry_space_group_name_Hall '-C 2c 2'
_cell_length_a 4.5151
_cell_length_b 15.3486
_cell_length_c 15.9127
_cell_angle_alpha 90.00
_cell_angle_beta 90.00
_cell_angle_gamma 90.00
loop_
_atom_site_label
_atom_site_fract_x
_atom_site_fract_y
_atom_site_fract_z
K1 0.0000 0.1255 0.2500
Nd1 0.0000 0.3673 0.0709
Te1 0.0000 0.0000 0.0000
Te2 0.0000 0.2696 0.6117
Te3 0.0000 0.4534 0.2500
Au1 0.0000 0.1526 0.7500
```